Entry 1:
Diffraction record for NaSrCr2Os. The powder diffractogram is calculated, not measured: it uses a GGA-PBE-relaxed structure and Cu Ka.

Main lines, low angle first (2θ = 10–90°):
- hkl 1 0 0, 18.64 deg, rel. 100
- hkl 1 1 0, 26.48 deg, rel. 25
- hkl 1 1 1, 31.98 deg, rel. 46
- hkl 0 0 2, 35.65 deg, rel. 27
- hkl 2 0 0, 37.80 deg, rel. 45
- hkl 1 0 2, 40.52 deg, rel. 28
- hkl 2 1 0, 42.46 deg, rel. 25
- hkl 2 0 2, 52.93 deg, rel. 33

Crystal structure
```
data_NaSrCr2Os
_cell_length_a 4.760
_cell_length_b 4.760
_cell_length_c 5.037
_cell_angle_alpha 90.00
_cell_angle_beta 90.00
_cell_angle_gamma 90.00
_symmetry_space_group_name_H-M 'P 4/m m m'
_symmetry_Int_Tables_number 123
_symmetry_space_group_name_Hall '-P 4 2'
loop_
_atom_site_label
_atom_site_fract_x
_atom_site_fract_y
_atom_site_fract_z
Na1 0.000 0.000 0.000
Sr1 0.500 0.500 0.500
Cr1 0.000 0.500 0.500
Os1 0.500 0.500 0.000
```

=====

Entry 2:
Diffraction record for NaYCrOs2. The powder diffractogram is calculated, not measured: it uses a GGA-PBE-relaxed structure and Cu Ka.

Main lines, low angle first (2θ = 10–90°):
- hkl 0 0 1, 20.89 deg, rel. 22
- hkl 1 1 0, 26.77 deg, rel. 15
- hkl 1 1 1, 34.20 deg, rel. 100
- hkl 2 0 0, 38.21 deg, rel. 45
- hkl 0 0 2, 42.52 deg, rel. 16
- hkl 2 2 0, 55.15 deg, rel. 15
- hkl 2 0 2, 58.48 deg, rel. 25
- hkl 3 1 1, 66.51 deg, rel. 29

Crystal structure
```
data_NaYCrOs2
_cell_length_a 4.710
_cell_length_b 4.710
_cell_length_c 4.252
_cell_angle_alpha 90.00
_cell_angle_beta 90.00
_cell_angle_gamma 90.00
_symmetry_space_group_name_H-M 'P 4/m m m'
_symmetry_Int_Tables_number 123
_symmetry_space_group_name_Hall '-P 4 2'
loop_
_atom_site_label
_atom_site_fract_x
_atom_site_fract_y
_atom_site_fract_z
Na1 0.000 0.000 0.000
Y1 0.500 0.500 0.500
Cr1 0.000 0.000 0.500
Os1 0.000 0.500 0.000
```

=====

Entry 3:
Diffraction record for NaCrP2S6. The powder diffractogram is calculated, not measured: it uses a GGA-PBE-relaxed structure and Cu Ka.

Main lines, low angle first (2θ = 10–90°):
- hkl 1 1 1, 13.92 deg, rel. 100
- hkl 1 1 5, 25.13 deg, rel. 11
- hkl 2 2 0, 26.69 deg, rel. 10
- hkl 0 4 0, 32.04 deg, rel. 22
- hkl 2 0 6, 33.53 deg, rel. 44
- hkl 1 5 1, 42.08 deg, rel. 8
- hkl 2 4 6, 47.05 deg, rel. 25
- hkl 3 5 5, 57.32 deg, rel. 8

Crystal structure
```
data_NaCrP2S6
_cell_length_a 8.331
_cell_length_b 11.175
_cell_length_c 20.901
_cell_angle_alpha 90.00
_cell_angle_beta 90.00
_cell_angle_gamma 90.00
_symmetry_space_group_name_H-M 'F d d 2'
_symmetry_Int_Tables_number 43
_symmetry_space_group_name_Hall 'F 2 -2d'
loop_
_atom_site_label
_atom_site_fract_x
_atom_site_fract_y
_atom_site_fract_z
Na1 0.000 0.000 0.000
Cr1 0.000 0.000 0.662
P1 0.110 0.059 0.825
S1 0.005 0.218 0.651
S2 0.035 0.259 0.990
S3 0.037 0.232 0.833
```